This entry pairs a crystal structure of Rb3NpV2O8 with its theoretical X-ray diffraction stick pattern. Radiation: copper Kα. Structure: the GGA+U geometry in Alexandria.
No peak broadening, texture or thermal motion is included.

Atomic structure:
a b c (Å): 6.086 6.086 8.073
angles (deg): 90.00 90.00 120.00
Fractional positions:
Rb 0.000 0.000 0.000
Rb 0.333 0.667 0.710
Rb 0.667 0.333 0.290
Np 0.000 0.000 0.500
V 0.333 0.667 0.260
V 0.667 0.333 0.740
O 0.172 0.344 0.338
O 0.172 0.828 0.338
O 0.333 0.667 0.051
O 0.344 0.172 0.662
O 0.656 0.828 0.338
O 0.667 0.333 0.949
O 0.828 0.172 0.662
O 0.828 0.656 0.662

Most intense lines, 10° ≤ 2θ ≤ 90°, sorted by position:
2θ = 11.0°, rel. 35
2θ = 16.8°, rel. 26
2θ = 20.1°, rel. 24
2θ = 27.8°, rel. 100
2θ = 29.3°, rel. 85
2θ = 40.9°, rel. 44
2θ = 51.1°, rel. 37
2θ = 52.1°, rel. 17
2θ = 54.6°, rel. 23
2θ = 68.2°, rel. 16